Theoretical powder diffractogram
Compound: UMoPbO6
Radiation: Cu Kα X-rays
Structure: a DFT-relaxed cell (PBE+U, Alexandria)
No peak broadening, texture or thermal motion is included.

Crystal structure
abc: 5.6067 5.6067 10.6062
angles: 90.00 90.00 120.00
Space group P-31c (No. 163)
Unique sites:
U1 0.3333 0.6667 0.2500 (multiplicity 2)
Mo1 0.3333 0.6667 0.7500 (multiplicity 2)
Pb1 0.0000 0.0000 0.0000 (multiplicity 2)
O1 0.0037 0.3702 0.6471 (multiplicity 12)

The 10 most intense peaks (2θ from 10° to 80°), sorted by position:
| 2θ (°) | Rel. int. |
| --- | --- |
| 20.11 | 14 |
| 24.86 | 100 |
| 31.92 | 45 |
| 33.80 | 11 |
| 40.88 | 26 |
| 47.18 | 43 |
| 52.78 | 26 |
| 55.31 | 11 |
| 56.89 | 14 |
| 72.40 | 11 |